[1]
The following is a simulated powder diffraction line list of K2NiAuF6. It was derived from a cell relaxed with GGA+U, using Cu Kα (λ = 1.5418 Å).
Peak positions follow from Bragg's law for the DFT cell and can differ from measured ones.

Principal peaks in the range 2θ from 15° to 90°, in order of falling intensity:
hkl 2 2 0, 2θ 29.6, rel. 100
hkl 2 0 0, 2θ 20.8, rel. 61
hkl 4 0 0, 2θ 42.4, rel. 40
hkl 4 2 2, 2θ 52.6, rel. 39
hkl 1 1 1, 2θ 18.0, rel. 29
hkl 4 2 0, 2θ 47.7, rel. 27
hkl 3 1 1, 2θ 34.9, rel. 26
hkl 4 4 0, 2θ 61.5, rel. 24
hkl 6 4 2, 2θ 85.1, rel. 21
hkl 6 2 0, 2θ 69.7, rel. 18

Crystal structure
```
data_K2NiAuF6
_chemical_formula_sum 'K8 Ni4 Au4 F24'
_cell_length_a 8.5302
_cell_length_b 8.5302
_cell_length_c 8.5302
_cell_angle_alpha 90.00
_cell_angle_beta 90.00
_cell_angle_gamma 90.00
_symmetry_space_group_name_H-M 'F m -3 m'
_symmetry_Int_Tables_number 225
_symmetry_space_group_name_Hall '-F 4 2 3'
loop_
_atom_site_label
_atom_site_type_symbol
_atom_site_fract_x
_atom_site_fract_y
_atom_site_fract_z
_atom_site_occupancy
K1 K 0.2500 0.2500 0.2500 1
Ni1 Ni 0.0000 0.0000 0.0000 1
Au1 Au 0.0000 0.0000 0.5000 1
F1 F 0.0000 0.0000 0.2290 1
```

[2]
The following is a simulated powder diffraction line list of Na2MnAuF6. It was derived from a cell relaxed with GGA+U, using Cu Kα (λ = 1.5418 Å).
Peak positions follow from Bragg's law for the DFT cell and can differ from measured ones.

Principal peaks in the range 2θ from 15° to 90°, in order of falling intensity:
hkl 2 0 0, 2θ 20.6, rel. 100
hkl 2 2 0, 2θ 29.2, rel. 98
hkl 4 0 0, 2θ 41.8, rel. 44
hkl 4 2 0, 2θ 47.0, rel. 42
hkl 1 1 1, 2θ 17.8, rel. 42
hkl 3 1 1, 2θ 34.4, rel. 39
hkl 4 2 2, 2θ 51.9, rel. 39
hkl 4 4 0, 2θ 60.6, rel. 26
hkl 3 3 1, 2θ 45.8, rel. 24
hkl 6 4 2, 2θ 83.8, rel. 21

Crystal structure
```
data_Na2MnAuF6
_chemical_formula_sum 'Na8 Mn4 Au4 F24'
_cell_length_a 8.6383
_cell_length_b 8.6383
_cell_length_c 8.6383
_cell_angle_alpha 90.00
_cell_angle_beta 90.00
_cell_angle_gamma 90.00
_symmetry_space_group_name_H-M 'F m -3 m'
_symmetry_Int_Tables_number 225
_symmetry_space_group_name_Hall '-F 4 2 3'
loop_
_atom_site_label
_atom_site_type_symbol
_atom_site_fract_x
_atom_site_fract_y
_atom_site_fract_z
_atom_site_occupancy
Na1 Na 0.2500 0.2500 0.2500 1
Mn1 Mn 0.0000 0.0000 0.0000 1
Au1 Au 0.0000 0.0000 0.5000 1
F1 F 0.0000 0.0000 0.2264 1
```

[3]
The following is a simulated powder diffraction line list of Rb2MnAuF6. It was derived from a cell relaxed with GGA+U, using Cu Kα (λ = 1.5418 Å).
Peak positions follow from Bragg's law for the DFT cell and can differ from measured ones.

Principal peaks in the range 2θ from 15° to 90°, in order of falling intensity:
hkl 2 2 0, 2θ 28.6, rel. 100
hkl 4 2 2, 2θ 50.6, rel. 40
hkl 4 0 0, 2θ 40.8, rel. 35
hkl 6 4 2, 2θ 81.5, rel. 22
hkl 4 4 0, 2θ 59.1, rel. 22
hkl 6 2 0, 2θ 66.9, rel. 19
hkl 3 1 1, 2θ 33.6, rel. 19
hkl 1 1 1, 2θ 17.4, rel. 19
hkl 3 3 1, 2θ 44.7, rel. 12
hkl 2 0 0, 2θ 20.1, rel. 12

Crystal structure
```
data_Rb2MnAuF6
_chemical_formula_sum 'Rb8 Mn4 Au4 F24'
_cell_length_a 8.8418
_cell_length_b 8.8418
_cell_length_c 8.8418
_cell_angle_alpha 90.00
_cell_angle_beta 90.00
_cell_angle_gamma 90.00
_symmetry_space_group_name_H-M 'F m -3 m'
_symmetry_Int_Tables_number 225
_symmetry_space_group_name_Hall '-F 4 2 3'
loop_
_atom_site_label
_atom_site_type_symbol
_atom_site_fract_x
_atom_site_fract_y
_atom_site_fract_z
_atom_site_occupancy
Rb1 Rb 0.2500 0.2500 0.2500 1
Mn1 Mn 0.0000 0.0000 0.0000 1
Au1 Au 0.0000 0.0000 0.5000 1
F1 F 0.0000 0.0000 0.2228 1
```

[4]
The following is a simulated powder diffraction line list of Na2MoAuF6. It was derived from a cell relaxed with GGA+U, using Cu Kα (λ = 1.5418 Å).
Peak positions follow from Bragg's law for the DFT cell and can differ from measured ones.

Principal peaks in the range 2θ from 15° to 90°, in order of falling intensity:
hkl 2 0 0, 2θ 19.8, rel. 100
hkl 2 2 0, 2θ 28.1, rel. 96
hkl 4 2 0, 2θ 45.2, rel. 45
hkl 4 0 0, 2θ 40.2, rel. 41
hkl 4 2 2, 2θ 49.8, rel. 40
hkl 4 4 0, 2θ 58.2, rel. 25
hkl 6 4 2, 2θ 80.0, rel. 21
hkl 6 0 0, 2θ 62.1, rel. 21
hkl 6 2 0, 2θ 65.8, rel. 19
hkl 3 1 1, 2θ 33.1, rel. 15

Crystal structure
```
data_Na2MoAuF6
_chemical_formula_sum 'Na8 Mo4 Au4 F24'
_cell_length_a 8.9720
_cell_length_b 8.9720
_cell_length_c 8.9720
_cell_angle_alpha 90.00
_cell_angle_beta 90.00
_cell_angle_gamma 90.00
_symmetry_space_group_name_H-M 'F m -3 m'
_symmetry_Int_Tables_number 225
_symmetry_space_group_name_Hall '-F 4 2 3'
loop_
_atom_site_label
_atom_site_type_symbol
_atom_site_fract_x
_atom_site_fract_y
_atom_site_fract_z
_atom_site_occupancy
Na1 Na 0.2500 0.2500 0.2500 1
Mo1 Mo 0.0000 0.0000 0.0000 1
Au1 Au 0.0000 0.0000 0.5000 1
F1 F 0.0000 0.0000 0.2296 1
```